No. 1
Calculated powder diffraction line list
Compound: CeErCu4
Radiation: Cu Kα (weighted mean of Kα1 and Kα2)
Structure: a cell relaxed with PBE
Kinematic intensities with the Lorentz-polarization factor, no thermal factor.

Main lines, by intensity (5° ≤ 2θ ≤ 70°):
- 2θ 35.78, I 100
- 2θ 42.27, I 46
- 2θ 35.91, I 42
- 2θ 41.94, I 32
- 2θ 34.60, I 31
- 2θ 56.37, I 22
- 2θ 23.91, I 19
- 2θ 69.15, I 16
- 2θ 41.70, I 13
- 2θ 59.86, I 12

Structure:
```
CeErCu4
1.0
-2.154 3.398 3.694
2.154 -3.398 3.694
2.154 3.398 -3.694
Ce Er Cu
1 1 4
direct
0.000 0.000 0.000
0.579 0.079 0.500
0.005 0.707 0.298
0.177 0.378 0.799
0.410 0.707 0.702
0.578 0.378 0.201
```

No. 2
Calculated powder diffraction line list
Compound: Pr2As3Rh6
Radiation: Cu Kα (weighted mean of Kα1 and Kα2)
Structure: a cell relaxed with PBE
Kinematic intensities with the Lorentz-polarization factor, no thermal factor.

Main lines, by intensity (5° ≤ 2θ ≤ 70°):
- 2θ 32.02, I 100
- 2θ 43.24, I 87
- 2θ 41.43, I 39
- 2θ 43.00, I 32
- 2θ 37.72, I 29
- 2θ 61.25, I 22
- 2θ 57.26, I 17
- 2θ 35.11, I 14
- 2θ 28.29, I 13
- 2θ 54.60, I 12

Structure:
```
Pr2As3Rh6
1.0
7.286 0.000 0.000
-3.643 6.310 0.000
0.000 0.000 4.358
Pr As Rh
2 3 6
direct
0.333 0.667 0.000
0.667 0.333 0.000
0.000 0.617 0.500
0.383 0.383 0.500
0.617 0.000 0.500
0.000 0.275 0.500
0.000 0.785 0.000
0.215 0.215 0.000
0.275 0.000 0.500
0.725 0.725 0.500
0.785 0.000 0.000
```

No. 3
Calculated powder diffraction line list
Compound: Rb3Tb3VTe8
Radiation: Cu Kα (weighted mean of Kα1 and Kα2)
Structure: a cell relaxed with PBE
Kinematic intensities with the Lorentz-polarization factor, no thermal factor.

Main lines, by intensity (5° ≤ 2θ ≤ 70°):
- 2θ 27.19, I 100
- 2θ 9.98, I 48
- 2θ 41.50, I 38
- 2θ 36.02, I 30
- 2θ 33.49, I 22
- 2θ 50.32, I 17
- 2θ 44.52, I 14
- 2θ 67.20, I 13
- 2θ 56.09, I 8
- 2θ 42.78, I 8

Structure:
```
Rb3Tb3VTe8
1.0
7.545 -4.349 0.000
7.545 4.349 0.000
-5.037 0.000 8.866
Rb Tb V Te
3 3 1 8
direct
0.000 0.000 0.000
0.000 0.500 0.000
0.500 0.000 0.000
0.000 0.500 0.500
0.500 0.000 0.500
0.500 0.500 0.500
0.000 0.000 0.500
0.216 0.216 0.687
0.216 0.755 0.687
0.245 0.784 0.313
0.266 0.266 0.297
0.734 0.734 0.703
0.755 0.216 0.687
0.784 0.245 0.313
0.784 0.784 0.313
```